Starting from a crystal structure in Alexandria, relaxed with PBE, the X-ray powder pattern of Pm3Er5 was simulated for Cu Kα (weighted mean of Kα1 and Kα2).
No peak broadening, texture or thermal motion is included.

Structural model:
a b c (Å): 3.5635 3.5635 20.0470
angles (deg): 90.00 90.00 90.00
Space group P4/mmm (No. 123)
Unique sites:
Pm: 0.0000 0.0000 0.0000 [1 per cell]
Pm: 0.5000 0.5000 0.1307 [2 per cell]
Er: 0.0000 0.0000 0.2570 [2 per cell]
Er: 0.0000 0.0000 0.5000 [1 per cell]
Er: 0.5000 0.5000 0.3786 [2 per cell]

Largest 10 diffraction maxima, low angle first, 2θ from 5° to 70°:
h k l  2θ/deg  I_rel
1 0 4  30.79  100
1 0 5  33.65  2
1 1 0  35.63  34
0 0 8  35.84  16
2 0 0  51.27  12
1 1 8  51.43  23
2 1 4  61.01  29
1 0 12  61.28  13
2 0 8  64.13  12
1 0 13  66.01  1

Starting from a crystal structure in Alexandria, relaxed with PBE, the X-ray powder pattern of Na4I2O was simulated for Cu Kα (weighted mean of Kα1 and Kα2).
No peak broadening, texture or thermal motion is included.

Structural model:
a b c (Å): 4.6492 18.6527 4.6118
angles (deg): 90.00 90.00 90.00
Space group Cmmm (No. 65)
Unique sites:
Na: 0.0000 0.0000 0.0000 [2 per cell]
Na: 0.0000 0.1224 0.5000 [4 per cell]
Na: 0.0000 0.5000 0.5000 [2 per cell]
I: 0.0000 0.3620 0.0000 [4 per cell]
O: 0.0000 0.0000 0.5000 [2 per cell]

Largest 10 diffraction maxima, low angle first, 2θ from 5° to 70°:
h k l  2θ/deg  I_rel
0 4 0  19.03  51
0 0 1  19.25  35
1 1 0  19.68  23
1 3 0  23.90  49
0 4 1  27.20  38
1 1 1  27.66  47
1 3 1  30.87  100
2 0 0  38.74  23
1 7 1  43.80  40
2 0 2  56.15  25

Starting from a crystal structure in Alexandria, relaxed with PBE, the X-ray powder pattern of Ba2Ca2Bi2H was simulated for Cu Kα (weighted mean of Kα1 and Kα2).
No peak broadening, texture or thermal motion is included.

Structural model:
a b c (Å): 5.0279 5.0279 18.3826
angles (deg): 90.00 90.00 90.00
Space group I4/mmm (No. 139)
Unique sites:
Ba: 0.0000 0.0000 0.1759 [4 per cell]
Ca: 0.0000 0.5000 0.0000 [4 per cell]
Bi: 0.0000 0.0000 0.3778 [4 per cell]
H: 0.0000 0.0000 0.0000 [2 per cell]

Largest 10 diffraction maxima, low angle first, 2θ from 5° to 70°:
h k l  2θ/deg  I_rel
1 0 1  18.29  35
0 0 4  19.31  40
1 1 0  25.05  97
1 0 5  30.11  92
1 1 4  31.82  100
2 0 0  35.72  65
2 1 5  47.39  53
1 0 9  48.08  31
2 1 9  61.32  30
3 1 4  61.74  30

Starting from a crystal structure in Alexandria, relaxed with PBE, the X-ray powder pattern of PrSCl was simulated for Cu Kα (weighted mean of Kα1 and Kα2).
No peak broadening, texture or thermal motion is included.

Structural model:
a b c (Å): 11.2127 13.6896 8.8124
angles (deg): 90.00 90.00 90.00
Space group Fdd2 (No. 43)
Unique sites:
Pr: 0.0557 0.2297 0.0000 [16 per cell]
S: 0.0218 0.1286 0.7220 [16 per cell]
Cl: 0.0850 0.1374 0.2945 [16 per cell]

Largest 10 diffraction maxima, low angle first, 2θ from 5° to 70°:
h k l  2θ/deg  I_rel
1 1 1  14.33  48
2 2 0  20.48  100
1 3 1  23.34  27
0 2 2  24.02  97
3 1 1  26.71  36
3 3 1  32.59  55
2 4 2  36.92  70
5 1 1  42.13  63
2 2 4  46.23  31
5 1 3  51.71  25

Starting from a crystal structure in Alexandria, relaxed with PBE, the X-ray powder pattern of Zn3FeCu was simulated for Cu Kα (weighted mean of Kα1 and Kα2).
No peak broadening, texture or thermal motion is included.

Structural model:
a b c (Å): 4.7327 4.2386 7.0015
angles (deg): 90.00 109.09 90.00
Space group P2_1/m (No. 11)
Unique sites:
Zn: 0.1407 0.2500 0.0951 [2 per cell]
Zn: 0.2582 0.7500 0.7062 [2 per cell]
Zn: 0.3412 0.2500 0.5119 [2 per cell]
Fe: 0.4729 0.7500 0.0893 [2 per cell]
Cu: 0.0711 0.7500 0.3002 [2 per cell]

Largest 10 diffraction maxima, low angle first, 2θ from 5° to 70°:
h k l  2θ/deg  I_rel
2 0 -1  38.03  22
1 0 2  38.79  27
1 0 -3  39.19  21
0 2 0  42.66  71
2 1 -1  43.82  100
1 1 2  44.50  88
1 1 -3  44.86  91
1 2 2  59.02  15
3 0 1  68.95  15
3 0 -4  69.76  14

Starting from a crystal structure in Alexandria, relaxed with PBE, the X-ray powder pattern of MnCo2Sn8 was simulated for Cu Kα (weighted mean of Kα1 and Kα2).
No peak broadening, texture or thermal motion is included.

Structural model:
a b c (Å): 11.4025 9.3536 5.0208
angles (deg): 90.00 91.87 90.00
Space group C2/m (No. 12)
Unique sites:
Mn: 0.0000 0.0000 0.0000 [2 per cell]
Co: 0.1952 0.0000 0.2329 [4 per cell]
Sn: 0.0836 0.5000 0.7662 [4 per cell]
Sn: 0.0950 0.2396 0.2677 [8 per cell]
Sn: 0.2198 0.0000 0.7334 [4 per cell]

Largest 10 diffraction maxima, low angle first, 2θ from 5° to 70°:
h k l  2θ/deg  I_rel
2 2 0  24.63  31
2 2 -1  30.17  57
3 1 -1  30.58  38
2 2 1  30.78  100
3 1 1  31.47  24
0 0 2  35.78  62
4 2 0  36.94  25
0 4 0  38.50  61
5 1 0  40.75  45
0 4 2  53.57  39

Starting from a crystal structure in Alexandria, relaxed with PBE, the X-ray powder pattern of TmPa2ReC4 was simulated for Cu Kα (weighted mean of Kα1 and Kα2).
No peak broadening, texture or thermal motion is included.

Structural model:
a b c (Å): 3.5679 11.7811 11.9226
angles (deg): 90.00 90.00 90.00
Space group Cmcm (No. 63)
Unique sites:
Tm: 0.0000 0.1265 0.2500 [4 per cell]
Pa: 0.0000 0.3672 0.0415 [8 per cell]
Re: 0.0000 0.1389 0.7500 [4 per cell]
C: 0.0000 0.0000 0.0000 [4 per cell]
C: 0.0000 0.2625 0.6306 [8 per cell]
C: 0.0000 0.4401 0.2500 [4 per cell]

Largest 10 diffraction maxima, low angle first, 2θ from 5° to 70°:
h k l  2θ/deg  I_rel
0 2 3  27.07  26
0 0 4  29.98  38
1 1 2  30.16  100
0 4 0  30.35  61
1 3 2  37.24  94
0 2 5  40.83  21
0 4 4  43.18  27
2 0 0  51.21  18
2 4 0  60.72  26
1 7 2  63.03  24

Starting from a crystal structure in Alexandria, relaxed with PBE, the X-ray powder pattern of VPd2S6 was simulated for Cu Kα (weighted mean of Kα1 and Kα2).
No peak broadening, texture or thermal motion is included.

Structural model:
a b c (Å): 5.5162 5.5162 11.0381
angles (deg): 90.00 90.00 90.00
Space group P4_2/mnm (No. 136)
Unique sites:
V: 0.0000 0.0000 0.0000 [2 per cell]
Pd: 0.0000 0.0000 0.3328 [4 per cell]
S: 0.1899 0.1899 0.1590 [8 per cell]
S: 0.1961 0.1961 0.5000 [4 per cell]

Largest 10 diffraction maxima, low angle first, 2θ from 5° to 70°:
h k l  2θ/deg  I_rel
1 0 1  17.98  11
1 1 0  22.80  100
1 0 3  29.17  47
1 1 3  33.48  25
2 1 0  36.42  13
2 1 3  44.20  79
2 2 0  46.57  23
0 0 6  49.55  15
1 1 6  55.21  18
3 0 3  55.90  36

Starting from a crystal structure in Alexandria, relaxed with PBE, the X-ray powder pattern of LiMg4Cu was simulated for Cu Kα (weighted mean of Kα1 and Kα2).
No peak broadening, texture or thermal motion is included.

Structural model:
a b c (Å): 4.4798 4.4798 6.8246
angles (deg): 90.00 90.00 90.00
Space group P4mm (No. 99)
Unique sites:
Li: 0.0000 0.0000 0.0000 [1 per cell]
Mg: 0.0000 0.5000 0.2756 [2 per cell]
Mg: 0.0000 0.5000 0.7248 [2 per cell]
Cu: 0.5000 0.5000 0.5008 [1 per cell]

Largest 10 diffraction maxima, low angle first, 2θ from 5° to 70°:
h k l  2θ/deg  I_rel
0 0 1  12.97  80
1 0 0  19.82  39
1 0 1  23.76  69
1 0 2  33.00  22
1 1 2  38.79  100
2 0 0  40.26  48
2 0 1  42.48  17
2 1 1  47.29  21
1 1 3  49.32  20
2 2 0  58.25  15

Starting from a crystal structure in Alexandria, relaxed with PBE, the X-ray powder pattern of Pr8Ho3Th2 was simulated for Cu Kα (weighted mean of Kα1 and Kα2).
No peak broadening, texture or thermal motion is included.

Structural model:
a b c (Å): 21.0145 7.5577 5.7952
angles (deg): 90.00 90.03 90.00
Space group C2/m (No. 12)
Unique sites:
Pr: 0.1054 0.2069 0.0001 [8 per cell]
Pr: 0.1340 0.5000 0.4995 [4 per cell]
Pr: 0.1740 0.0000 0.5007 [4 per cell]
Ho: 0.0000 0.2224 0.5000 [4 per cell]
Ho: 0.0000 0.5000 0.0000 [2 per cell]
Th: 0.2423 0.5000 0.9990 [4 per cell]

Largest 10 diffraction maxima, low angle first, 2θ from 5° to 70°:
h k l  2θ/deg  I_rel
2 2 0  25.04  28
5 1 1  28.78  32
6 0 -1  29.81  40
0 0 2  30.86  44
4 2 -1  33.04  100
8 0 0  34.13  12
2 2 -2  40.14  17
8 0 -2  46.67  10
4 2 -3  56.28  22
0 4 2  58.31  11

Starting from a crystal structure in Alexandria, relaxed with PBE, the X-ray powder pattern of Ta2TcH6 was simulated for Cu Kα (weighted mean of Kα1 and Kα2).
No peak broadening, texture or thermal motion is included.

Structural model:
a b c (Å): 3.1038 4.5151 9.5365
angles (deg): 90.00 90.00 90.00
Space group Immm (No. 71)
Unique sites:
Ta: 0.0000 0.0000 0.1651 [4 per cell]
Tc: 0.0000 0.0000 0.5000 [2 per cell]
H: 0.0000 0.2379 0.3349 [8 per cell]
H: 0.0000 0.2578 0.0000 [4 per cell]

Largest 10 diffraction maxima, low angle first, 2θ from 5° to 70°:
h k l  2θ/deg  I_rel
0 1 3  34.51  100
1 1 0  35.08  96
0 2 0  39.94  36
1 0 3  40.63  62
0 0 6  58.03  12
1 2 3  58.28  45
2 0 0  59.57  11
0 3 3  69.05  13
1 3 0  69.40  13
1 1 6  69.65  26

Starting from a crystal structure in Alexandria, relaxed with PBE, the X-ray powder pattern of Cd2GaHgPd was simulated for Cu Kα (weighted mean of Kα1 and Kα2).
No peak broadening, texture or thermal motion is included.

Structural model:
a b c (Å): 5.3047 5.3047 4.7711
angles (deg): 90.00 90.00 90.00
Space group P4/mmm (No. 123)
Unique sites:
Cd: 0.0000 0.5000 0.0000 [2 per cell]
Ga: 0.0000 0.0000 0.5000 [1 per cell]
Hg: 0.5000 0.5000 0.5000 [1 per cell]
Pd: 0.0000 0.0000 0.0000 [1 per cell]

Largest 10 diffraction maxima, low angle first, 2θ from 5° to 70°:
h k l  2θ/deg  I_rel
1 1 0  23.72  13
1 0 1  25.10  56
1 1 1  30.31  100
2 0 0  33.79  90
0 0 2  37.71  33
2 1 1  42.56  28
2 2 0  48.54  32
2 0 2  51.53  54
3 1 1  58.31  31
2 2 2  63.05  29

Starting from a crystal structure in Alexandria, relaxed with PBE, the X-ray powder pattern of Pr2ErSb4 was simulated for Cu Kα (weighted mean of Kα1 and Kα2).
No peak broadening, texture or thermal motion is included.

Structural model:
a b c (Å): 4.3613 4.3613 11.7927
angles (deg): 90.00 90.00 90.00
Space group P-4m2 (No. 115)
Unique sites:
Pr: 0.0000 0.5000 0.2117 [2 per cell]
Er: 0.0000 0.0000 0.5000 [1 per cell]
Sb: 0.0000 0.0000 0.0000 [1 per cell]
Sb: 0.0000 0.5000 0.6761 [2 per cell]
Sb: 0.5000 0.5000 0.0000 [1 per cell]

Largest 10 diffraction maxima, low angle first, 2θ from 5° to 70°:
h k l  2θ/deg  I_rel
1 0 1  21.73  13
1 0 2  25.40  40
0 0 4  30.32  12
1 1 2  32.77  100
1 0 4  36.80  28
2 0 0  41.41  35
2 1 2  49.20  13
2 0 4  52.17  10
2 1 4  56.58  16
2 2 0  59.99  12

Starting from a crystal structure in Alexandria, relaxed with PBE, the X-ray powder pattern of Ba3Pd7Pb2 was simulated for Cu Kα (weighted mean of Kα1 and Kα2).
No peak broadening, texture or thermal motion is included.

Structural model:
a b c (Å): 5.9857 5.9857 27.1753
angles (deg): 90.00 90.00 120.00
Space group R-3m (No. 166, hexagonal axes)
Unique sites:
Ba: 0.0000 0.0000 0.0000 [3 per cell]
Ba: 0.0000 0.0000 0.1409 [6 per cell]
Pd: 0.0000 0.0000 0.5000 [3 per cell]
Pd: 0.0058 0.5029 0.0829 [18 per cell]
Pb: 0.0000 0.0000 0.3311 [6 per cell]

Largest 10 diffraction maxima, low angle first, 2θ from 5° to 70°:
h k l  2θ/deg  I_rel
0 0 3  9.76  12
1 0 1  17.42  12
1 1 0  29.85  39
0 2 1  34.77  16
1 1 6  35.97  100
2 0 5  38.48  28
0 0 12  39.81  18
0 1 11  40.45  16
0 3 6  57.05  27
2 2 0  62.02  24